(1)
PmHoEr2Tm: calculated XRD peak list (Cu Ka), based on a cell relaxed with PBE.
Kinematic intensities with the Lorentz-polarization factor, no thermal factor.

Atomic structure:
Cell lengths 7.0456, 7.0456, 7.1704 Å; angles 90.00, 90.00, 107.55 degrees
Fractional positions:
Pm 0.2281 0.7719 0.7500
Pm 0.7719 0.2281 0.2500
Ho 0.4989 0.5011 0.2500
Ho 0.5011 0.4989 0.7500
Er 0.1899 0.1899 0.0000
Er 0.1899 0.1899 0.5000
Er 0.8101 0.8101 0.0000
Er 0.8101 0.8101 0.5000
Tm 0.2200 0.7800 0.2500
Tm 0.7800 0.2200 0.7500

Peak list (10 most intense, 10 to 90 degrees two-theta, sorted by position)
2θ/deg  Rel. int.
26.54  48
28.21  32
29.46  57
31.48  60
32.97  100
33.22  32
36.14  57
40.28  42
46.23  64
66.69  34

=====

(2)
Pm2YHoEr5: calculated XRD peak list (Cu Ka), based on a cell relaxed with PBE.
Kinematic intensities with the Lorentz-polarization factor, no thermal factor.

Atomic structure:
Cell lengths 9.8509, 9.8509, 9.8509 Å; angles 128.23, 128.23, 76.26 degrees
Fractional positions:
Pm 0.1171 0.6171 0.7343
Pm 0.3829 0.1171 0.5000
Pm 0.6171 0.8829 0.5000
Pm 0.8829 0.3829 0.2657
Y 0.2500 0.2500 0.0000
Y 0.7500 0.7500 0.0000
Ho 0.2500 0.7500 0.5000
Ho 0.7500 0.2500 0.5000
Er 0.0000 0.0000 0.0000
Er 0.0722 0.1493 0.5000
Er 0.1493 0.6493 0.0771
Er 0.3507 0.4278 0.5000
Er 0.4278 0.9278 0.0771
Er 0.5000 0.5000 0.0000
Er 0.5722 0.0722 0.9229
Er 0.6493 0.5722 0.5000
Er 0.8507 0.3507 0.9229
Er 0.9278 0.8507 0.5000

Peak list (10 most intense, 10 to 90 degrees two-theta, sorted by position)
2θ/deg  Rel. int.
28.94  50
29.37  51
31.07  100
34.96  18
38.17  17
43.79  11
46.94  23
53.17  22
56.33  18
60.99  16

=====

(3)
Pm2Y2Ho2Er: calculated XRD peak list (Cu Ka), based on a cell relaxed with PBE.
Kinematic intensities with the Lorentz-polarization factor, no thermal factor.

Atomic structure:
Cell lengths 8.7951, 8.7951, 8.7951 Å; angles 37.77, 37.77, 37.77 degrees
Fractional positions:
Pm 0.1388 0.1388 0.1388
Pm 0.8612 0.8612 0.8612
Y 0.2852 0.2852 0.2852
Y 0.7148 0.7148 0.7148
Ho 0.4268 0.4268 0.4268
Ho 0.5732 0.5732 0.5732
Er 0.0000 0.0000 0.0000

Peak list (10 most intense, 10 to 90 degrees two-theta, sorted by position)
2θ/deg  Rel. int.
19.41  4
25.65  1
31.40  100
44.99  18
55.80  9
55.92  29
65.45  6
65.59  6
74.46  16
83.08  3

=====

(4)
PmYHoEr: calculated XRD peak list (Cu Ka), based on a cell relaxed with PBE.
Kinematic intensities with the Lorentz-polarization factor, no thermal factor.

Atomic structure:
Cell lengths 6.1629, 6.1629, 6.1629 Å; angles 131.67, 131.67, 70.76 degrees
Fractional positions:
Pm 0.0000 0.0000 0.0000
Y 0.2500 0.7500 0.5000
Ho 0.7500 0.2500 0.5000
Er 0.5000 0.5000 0.0000

Peak list (10 most intense, 10 to 90 degrees two-theta, sorted by position)
2θ/deg  Rel. int.
30.73  100
35.58  34
35.74  17
51.20  12
51.32  24
60.91  28
61.12  14
64.01  12
83.71  12
86.24  11

=====

(5)
PmYHo2Er2: calculated XRD peak list (Cu Ka), based on a cell relaxed with PBE.
Kinematic intensities with the Lorentz-polarization factor, no thermal factor.

Atomic structure:
Cell lengths 6.9298, 9.7318, 5.6032 Å; angles 90.00, 90.00, 90.00 degrees
Fractional positions:
Pm 0.0000 0.0000 0.0000
Pm 0.5000 0.5000 0.5000
Y 0.0000 0.5000 0.5000
Y 0.5000 0.0000 0.0000
Ho 0.2491 0.3333 0.0000
Ho 0.2509 0.8333 0.5000
Ho 0.7491 0.1667 0.5000
Ho 0.7509 0.6667 0.0000
Er 0.2490 0.6665 0.0000
Er 0.2510 0.1665 0.5000
Er 0.7490 0.8335 0.5000
Er 0.7510 0.3335 0.0000

Peak list (10 most intense, 10 to 90 degrees two-theta, sorted by position)
2θ/deg  Rel. int.
25.71  13
31.72  81
31.90  100
41.41  22
45.60  30
56.71  27
56.84  23
63.07  28
75.68  9
81.36  9

=====

(6)
Pm2Y3HoEr6: calculated XRD peak list (Cu Ka), based on a cell relaxed with PBE.
Kinematic intensities with the Lorentz-polarization factor, no thermal factor.

Atomic structure:
Cell lengths 6.1456, 6.1456, 11.7493 Å; angles 94.99, 94.99, 119.95 degrees
Fractional positions:
Pm 0.1667 0.8333 0.0000
Pm 0.8333 0.1667 0.0000
Y 0.0000 0.0000 0.5000
Y 0.3335 0.6665 0.5000
Y 0.6665 0.3335 0.5000
Ho 0.5000 0.5000 0.0000
Er 0.0830 0.4158 0.7493
Er 0.2516 0.2516 0.2509
Er 0.4158 0.0830 0.7493
Er 0.5842 0.9170 0.2507
Er 0.7484 0.7484 0.7491
Er 0.9170 0.5842 0.2507

Peak list (10 most intense, 10 to 90 degrees two-theta, sorted by position)
2θ/deg  Rel. int.
30.88  100
35.80  50
51.53  36
61.28  35
61.36  7
64.31  9
75.87  6
84.06  9
84.18  9
86.87  11

=====

Number 1 is which compound?
PmHoEr2Tm